No. 1
For LaY6Er2Th, the GGA-PBE geometry in Alexandria gives the computed powder diffraction line list in this record (Cu Kα (weighted mean of Kα1 and Kα2)).
Peak positions follow from Bragg's law for the DFT cell and can differ from measured ones.

Most intense lines, 10 to 90 degrees two-theta, sorted by position:
two_theta	I_rel
11.80	38
28.02	40
28.41	77
30.12	74
30.61	90
30.90	100
31.37	67
31.51	68
32.46	40
33.95	64

Crystal structure
```
data_LaY6Er2Th
_chemical_formula_sum 'La2 Y12 Er4 Th2'
_cell_length_a 8.817
_cell_length_b 8.817
_cell_length_c 9.577
_cell_angle_alpha 93.44
_cell_angle_beta 93.44
_cell_angle_gamma 116.49
_symmetry_space_group_name_H-M 'P 1'
_symmetry_Int_Tables_number 1
loop_
_symmetry_equiv_pos_as_xyz
'x,y,z'
loop_
_atom_site_label
_atom_site_fract_x
_atom_site_fract_y
_atom_site_fract_z
La1 0.031 0.969 0.750
La2 0.969 0.031 0.250
Y1 0.017 0.563 0.681
Y2 0.119 0.751 0.059
Y3 0.249 0.881 0.441
Y4 0.298 0.514 0.886
Y5 0.437 0.983 0.819
Y6 0.486 0.702 0.614
Y7 0.514 0.298 0.386
Y8 0.563 0.017 0.181
Y9 0.702 0.486 0.114
Y10 0.751 0.119 0.559
Y11 0.881 0.249 0.941
Y12 0.983 0.437 0.319
Er1 0.196 0.298 0.552
Er2 0.298 0.196 0.052
Er3 0.702 0.804 0.948
Er4 0.804 0.702 0.448
Th1 0.408 0.592 0.250
Th2 0.592 0.408 0.750
```

No. 2
For La5Y2ErTh, the GGA-PBE geometry in Alexandria gives the computed powder diffraction line list in this record (Cu Kα (weighted mean of Kα1 and Kα2)).
Peak positions follow from Bragg's law for the DFT cell and can differ from measured ones.

Most intense lines, 10 to 90 degrees two-theta, sorted by position:
two_theta	I_rel
11.60	11
26.25	11
30.11	19
31.06	100
32.33	17
32.47	31
33.48	19
47.33	14
57.04	20
60.34	11

Crystal structure
```
data_La5Y2ErTh
_chemical_formula_sum 'La10 Y4 Er2 Th2'
_cell_length_a 11.224
_cell_length_b 11.224
_cell_length_c 10.705
_cell_angle_alpha 90.00
_cell_angle_beta 90.00
_cell_angle_gamma 151.56
_symmetry_space_group_name_H-M 'P 1'
_symmetry_Int_Tables_number 1
loop_
_symmetry_equiv_pos_as_xyz
'x,y,z'
loop_
_atom_site_label
_atom_site_fract_x
_atom_site_fract_y
_atom_site_fract_z
La1 0.000 0.000 0.000
La2 0.000 0.000 0.500
La3 0.127 0.873 0.750
La4 0.223 0.777 0.058
La5 0.223 0.777 0.442
La6 0.500 0.500 0.250
La7 0.500 0.500 0.750
La8 0.777 0.223 0.558
La9 0.777 0.223 0.942
La10 0.873 0.127 0.250
Y1 0.388 0.612 0.505
Y2 0.388 0.612 0.995
Y3 0.612 0.388 0.005
Y4 0.612 0.388 0.495
Er1 0.103 0.897 0.250
Er2 0.897 0.103 0.750
Th1 0.288 0.712 0.750
Th2 0.712 0.288 0.250
```